No. 1
TmSc5Cd: calculated powder diffractogram (CuKα), based on a cell relaxed with GGA-PBE.

Most intense lines, 10° ≤ 2θ ≤ 80°, by angle:
two_theta, d_spacing, I_rel, (hkl)
17.4, 5.109, 100, 2 0 0
17.6, 5.052, 50, 1 1 -1
30.3, 2.950, 48, 3 1 0
30.5, 2.930, 43, 2 0 -4
33.4, 2.679, 84, 0 0 4
34.6, 2.591, 80, 0 2 2
35.2, 2.552, 46, 4 0 0
35.5, 2.526, 94, 2 2 -2
36.2, 2.482, 53, 3 1 -4
42.2, 2.143, 57, 2 2 2

Atomic structure:
a b c (Å): 11.239 5.921 11.802
angles (deg): 90.00 114.74 90.00
Space group C2/c (No. 15)
Unique sites:
1 Tm 0.000 0.233 0.250 x4
2 Sc 0.000 0.247 0.750 x4
3 Sc 0.166 0.491 0.021 x8
4 Sc 0.246 0.005 0.701 x8
5 Cd 0.000 0.000 0.000 x4

No. 2
Tl2IrCl2F4: calculated powder diffractogram (CuKα), based on a cell relaxed with GGA-PBE.

Most intense lines, 10° ≤ 2θ ≤ 80°, by angle:
two_theta, d_spacing, I_rel, (hkl)
22.8, 3.899, 100, 1 1 -1
23.0, 3.869, 56, 2 0 1
27.2, 3.284, 55, 3 1 0
28.4, 3.143, 35, 0 2 0
34.6, 2.591, 25, 4 0 -1
36.8, 2.439, 44, 2 2 1
37.3, 2.408, 38, 1 1 2
45.7, 1.987, 15, 5 1 1
46.6, 1.950, 17, 2 2 -2
47.0, 1.932, 20, 1 3 -1

Atomic structure:
a b c (Å): 11.565 6.286 5.406
angles (deg): 90.00 92.32 90.00
Space group C2/m (No. 12)
Unique sites:
1 Tl 0.145 0.000 0.185 x4
2 Ir 0.000 0.500 0.500 x2
3 Cl 0.183 0.500 0.327 x4
4 F 0.052 0.273 0.728 x8

No. 3
Ac2Nd2Hg3: calculated powder diffractogram (CuKα), based on a cell relaxed with GGA-PBE.

Most intense lines, 10° ≤ 2θ ≤ 80°, by angle:
two_theta, d_spacing, I_rel, (hkl)
10.1, 8.719, 13, 0 0 1
25.0, 3.560, 12, 0 1 -2
32.0, 2.798, 100, 1 1 -1
33.0, 2.714, 58, 1 0 2
33.1, 2.703, 29, -1 1 3
46.7, 1.944, 22, 0 2 2
57.0, 1.616, 20, 3 0 -2
57.6, 1.601, 18, 3 -1 1
57.8, 1.594, 12, -2 3 3
66.9, 1.399, 12, 2 2 -2

Atomic structure:
a b c (Å): 5.596 5.597 9.284
angles (deg): 90.21 107.21 119.99
Space group P-1 (No. 2)
Unique sites:
1 Ac 0.237 0.117 0.354 x2
2 Nd 0.253 0.628 0.882 x2
3 Hg 0.000 0.500 0.500 x1
4 Hg 0.495 0.746 0.240 x2

No. 4
Hf3VH6: calculated powder diffractogram (CuKα), based on a cell relaxed with GGA-PBE.

Most intense lines, 10° ≤ 2θ ≤ 80°, by angle:
two_theta, d_spacing, I_rel, (hkl)
22.0, 4.046, 20, 0 1 2
31.3, 2.861, 14, 2 0 2
35.1, 2.559, 100, 2 1 1
38.5, 2.336, 32, 3 -2 2
55.6, 1.652, 17, 0 4 2
58.1, 1.587, 24, 3 2 1
60.5, 1.529, 17, 2 -1 6
65.2, 1.431, 11, 4 0 4
76.2, 1.249, 16, 2 1 7
76.3, 1.248, 5, 5 1 1

Atomic structure:
a b c (Å): 8.0878 8.0878 9.9215
angles (deg): 90.00 90.00 120.00
Space group R-3 (No. 148, hexagonal axes)
Unique sites:
1 Hf 0.0050 0.2514 0.2455 x18
2 V 0.0000 0.0000 0.0000 x3
3 V 0.0000 0.0000 0.5000 x3
4 H 0.0032 0.1519 0.8651 x18
5 H 0.0440 0.2329 0.4424 x18

No. 5
Rb3YCl6: calculated powder diffractogram (CuKα), based on a cell relaxed with GGA-PBE.

Most intense lines, 10° ≤ 2θ ≤ 80°, by angle:
two_theta, d_spacing, I_rel, (hkl)
22.0, 4.048, 22, 0 2 0
22.5, 3.947, 61, 5 1 1
23.0, 3.868, 100, 1 1 -3
29.2, 3.055, 21, 1 1 -4
30.4, 2.937, 29, 6 2 -1
32.0, 2.799, 77, 6 2 -2
32.8, 2.727, 28, 4 0 4
35.0, 2.561, 20, 10 0 0
40.6, 2.220, 18, 7 1 -5
47.0, 1.933, 23, 2 2 -6

Atomic structure:
a b c (Å): 25.966 8.095 13.205
angles (deg): 90.00 99.45 90.00
Space group C2/c (No. 15)
Unique sites:
1 Rb 0.056 0.226 0.445 x8
2 Rb 0.153 0.319 0.147 x8
3 Rb 0.165 0.188 0.809 x8
4 Y 0.000 0.198 0.750 x4
5 Y 0.250 0.250 0.500 x4
6 Cl 0.054 0.206 0.938 x8
7 Cl 0.062 0.415 0.681 x8
8 Cl 0.063 0.046 0.210 x8
9 Cl 0.170 0.446 0.426 x8
10 Cl 0.180 0.026 0.534 x8
11 Cl 0.250 0.119 0.314 x8

No. 6
TbPr4Dy2Sc: calculated powder diffractogram (CuKα), based on a cell relaxed with GGA-PBE.

Most intense lines, 10° ≤ 2θ ≤ 80°, by angle:
two_theta, d_spacing, I_rel, (hkl)
30.5, 2.934, 100, 1 1 2
34.9, 2.572, 17, 0 2 0
35.0, 2.565, 17, 2 0 0
36.1, 2.489, 16, 0 0 4
50.2, 1.816, 12, 2 2 0
51.1, 1.787, 24, 2 0 4
59.8, 1.546, 15, 1 3 2
60.0, 1.543, 15, 3 1 2
61.4, 1.509, 13, 1 1 6
63.4, 1.467, 12, 2 2 4

Atomic structure:
a b c (Å): 5.129 5.145 9.955
angles (deg): 90.00 90.00 90.00
Space group Pmmm (No. 47)
Unique sites:
1 Tb 0.000 0.000 0.000 x1
2 Pr 0.000 0.500 0.255 x2
3 Pr 0.500 0.000 0.255 x2
4 Dy 0.000 0.000 0.500 x1
5 Dy 0.500 0.500 0.000 x1
6 Sc 0.500 0.500 0.500 x1

No. 7
TbCe2CrN5: calculated powder diffractogram (CuKα), based on a cell relaxed with GGA-PBE.

Most intense lines, 10° ≤ 2θ ≤ 80°, by angle:
two_theta, d_spacing, I_rel, (hkl)
12.8, 6.939, 26, 0 2 0
26.9, 3.309, 25, 1 1 0
27.1, 3.294, 24, 0 4 1
28.6, 3.124, 68, 0 2 3
30.9, 2.894, 59, 0 4 2
32.0, 2.799, 26, 1 1 2
32.6, 2.743, 81, 1 3 0
37.4, 2.404, 100, 1 1 3
45.6, 1.991, 28, 1 5 2
56.5, 1.629, 32, 1 7 2

Atomic structure:
a b c (Å): 3.407 13.877 10.497
angles (deg): 90.00 90.00 90.00
Space group Cmc2_1 (No. 36)
Unique sites:
1 Tb 0.000 0.200 0.000 x4
2 Ce 0.000 0.122 0.695 x4
3 Ce 0.000 0.145 0.293 x4
4 Cr 0.000 0.497 0.966 x4
5 N 0.000 0.029 0.029 x4
6 N 0.000 0.288 0.661 x4
7 N 0.000 0.309 0.344 x4
8 N 0.000 0.369 0.009 x4
9 N 0.000 0.486 0.798 x4

No. 8
Li2PrCuPd4: calculated powder diffractogram (CuKα), based on a cell relaxed with GGA-PBE.

Most intense lines, 10° ≤ 2θ ≤ 80°, by angle:
two_theta, d_spacing, I_rel, (hkl)
24.9, 3.578, 62, 0 1 2
27.8, 3.204, 22, 1 0 4
34.8, 2.578, 33, 1 0 7
37.6, 2.393, 84, 0 1 8
41.9, 2.156, 100, 1 1 0
43.6, 2.074, 31, 1 0 10
57.5, 1.602, 24, 2 0 8
71.7, 1.317, 20, 1 1 15
73.7, 1.286, 22, 1 2 8
76.5, 1.245, 16, 3 0 0

Atomic structure:
a b c (Å): 4.3125 4.3125 24.9389
angles (deg): 90.00 90.00 120.00
Space group R-3m (No. 166, hexagonal axes)
Unique sites:
1 Li 0.0000 0.0000 0.2320 x6
2 Pr 0.0000 0.0000 0.0000 x3
3 Cu 0.0000 0.0000 0.5000 x3
4 Pd 0.0000 0.0000 0.1279 x6
5 Pd 0.0000 0.0000 0.3984 x6